# La2TlSe
Theoretical powder X-ray diffraction pattern, Cu Kα (weighted mean of Kα1 and Kα2). Input: a cell relaxed with PBE.
Peak positions follow from Bragg's law for the DFT cell and can differ from measured ones.

Peak list (6 most intense, 10 to 90 degrees two-theta, in order of rising 2θ)
2theta	I (rel.)	hkl
25.3	94	1 0 -4
28.1	1000	0 2 0
40.2	757	2 2 -2
49.7	269	2 2 2
65.7	263	4 2 -4
73.0	209	2 4 2

Structural model:
a = 6.3544 Å, b = 6.3548 Å, c = 14.1861 Å
α = 90.00°, β = 116.57°, γ = 90.00°
Fractional positions:
La 0.1124 0.2502 0.1127
La 0.1124 0.7498 0.6127
La 0.3627 0.2496 0.8628
La 0.3627 0.7504 0.3628
La 0.6373 0.2496 0.6372
La 0.6373 0.7504 0.1372
La 0.8876 0.2502 0.3873
La 0.8876 0.7498 0.8873
Tl 0.3753 0.2505 0.3749
Tl 0.3753 0.7495 0.8749
Tl 0.6247 0.2505 0.1251
Tl 0.6247 0.7495 0.6251
Se 0.1251 0.2497 0.6250
Se 0.1251 0.7503 0.1250
Se 0.8749 0.2497 0.8750
Se 0.8749 0.7503 0.3750